Calculated PXRD pattern of FeCo2Ni9 for Cu Ka, from a structure optimized by DFT (GGA-PBE).

Principal peaks in the range 10° ≤ 2θ ≤ 90°, most intense first:
d 2.038, I = 100
d 1.765, I = 46
d 1.248, I = 27

```
data_FeCo2Ni9
_cell_length_a 3.5283
_cell_length_b 3.5283
_cell_length_c 10.5942
_cell_angle_alpha 90.00
_cell_angle_beta 90.00
_cell_angle_gamma 90.00
_symmetry_space_group_name_H-M 'P 1'
_symmetry_Int_Tables_number 1
loop_
_symmetry_equiv_pos_as_xyz
'x,y,z'
loop_
_atom_site_label
_atom_site_type_symbol
_atom_site_fract_x
_atom_site_fract_y
_atom_site_fract_z
_atom_site_occupancy
Fe1 Fe 0.0000 0.0000 0.0000 1
Co1 Co 0.0000 0.0000 0.3347 1
Co2 Co 0.0000 0.0000 0.6653 1
Ni1 Ni 0.0000 0.5000 0.1679 1
Ni2 Ni 0.0000 0.5000 0.5000 1
Ni3 Ni 0.0000 0.5000 0.8321 1
Ni4 Ni 0.5000 0.0000 0.1679 1
Ni5 Ni 0.5000 0.0000 0.5000 1
Ni6 Ni 0.5000 0.0000 0.8321 1
Ni7 Ni 0.5000 0.5000 0.0000 1
Ni8 Ni 0.5000 0.5000 0.3337 1
Ni9 Ni 0.5000 0.5000 0.6663 1
```

***

Calculated PXRD pattern of Dy5HoBi5 for Cu Ka, from a structure optimized by DFT (GGA-PBE).

Principal peaks in the range 10° ≤ 2θ ≤ 90°, most intense first:
d 3.116, I = 100
d 2.208, I = 98
d 3.131, I = 51
d 1.395, I = 23
d 1.804, I = 21
d 1.799, I = 21
d 1.275, I = 21
d 2.199, I = 19
d 1.399, I = 19
d 1.271, I = 14

```
data_Dy5HoBi5
_cell_length_a 7.6297
_cell_length_b 7.6297
_cell_length_c 8.8318
_cell_angle_alpha 106.85
_cell_angle_beta 106.85
_cell_angle_gamma 48.45
_symmetry_space_group_name_H-M 'P 1'
_symmetry_Int_Tables_number 1
loop_
_symmetry_equiv_pos_as_xyz
'x,y,z'
loop_
_atom_site_label
_atom_site_type_symbol
_atom_site_fract_x
_atom_site_fract_y
_atom_site_fract_z
_atom_site_occupancy
Dy1 Dy 0.0000 0.0000 0.0000 1
Dy2 Dy 0.3347 0.3347 0.1643 1
Dy3 Dy 0.3370 0.3370 0.6729 1
Dy4 Dy 0.6630 0.6630 0.3271 1
Dy5 Dy 0.6653 0.6653 0.8357 1
Ho1 Ho 0.0000 0.0000 0.5000 1
Bi1 Bi 0.1663 0.1663 0.8345 1
Bi2 Bi 0.1692 0.1692 0.3334 1
Bi3 Bi 0.5000 0.5000 0.5000 1
Bi4 Bi 0.8308 0.8308 0.6666 1
Bi5 Bi 0.8337 0.8337 0.1655 1
```

***

Calculated PXRD pattern of LaTa3O9 for Cu Ka, from a structure optimized by DFT (GGA-PBE).

Principal peaks in the range 10° ≤ 2θ ≤ 90°, most intense first:
d 3.385, I = 100
d 2.920, I = 77
d 3.254, I = 76
d 3.831, I = 75
d 2.757, I = 59
d 1.915, I = 51
d 1.574, I = 49
d 2.965, I = 44
d 3.146, I = 42
d 2.536, I = 38

```
data_LaTa3O9
_cell_length_a 5.5179
_cell_length_b 7.6613
_cell_length_c 8.3149
_cell_angle_alpha 90.00
_cell_angle_beta 92.34
_cell_angle_gamma 90.00
_symmetry_space_group_name_H-M 'P 1'
_symmetry_Int_Tables_number 1
loop_
_symmetry_equiv_pos_as_xyz
'x,y,z'
loop_
_atom_site_label
_atom_site_type_symbol
_atom_site_fract_x
_atom_site_fract_y
_atom_site_fract_z
_atom_site_occupancy
La1 La 0.0344 0.2500 0.4343 1
La2 La 0.9656 0.7500 0.5657 1
Ta1 Ta 0.0000 0.0000 0.0000 1
Ta2 Ta 0.0000 0.5000 0.0000 1
Ta3 Ta 0.4739 0.0063 0.6983 1
Ta4 Ta 0.4739 0.4937 0.6983 1
Ta5 Ta 0.5261 0.5063 0.3017 1
Ta6 Ta 0.5261 0.9937 0.3017 1
O1 O 0.0757 0.2500 0.9852 1
O2 O 0.1609 0.5521 0.7896 1
O3 O 0.1609 0.9479 0.7896 1
O4 O 0.2678 0.5355 0.4691 1
O5 O 0.2678 0.9645 0.4691 1
O6 O 0.3122 0.5422 0.1253 1
O7 O 0.3122 0.9578 0.1253 1
O8 O 0.3633 0.2500 0.6637 1
O9 O 0.4460 0.2500 0.3143 1
O10 O 0.5540 0.7500 0.6857 1
O11 O 0.6367 0.7500 0.3363 1
O12 O 0.6878 0.0422 0.8747 1
O13 O 0.6878 0.4578 0.8747 1
O14 O 0.7322 0.0355 0.5309 1
O15 O 0.7322 0.4645 0.5309 1
O16 O 0.8391 0.0521 0.2104 1
O17 O 0.8391 0.4479 0.2104 1
O18 O 0.9243 0.7500 0.0148 1
```

***

Calculated PXRD pattern of In7SnHg6 for Cu Ka, from a structure optimized by DFT (GGA-PBE).

Principal peaks in the range 10° ≤ 2θ ≤ 90°, most intense first:
d 2.836, I = 100
d 2.768, I = 92
d 2.808, I = 90
d 2.529, I = 73
d 2.415, I = 64
d 2.363, I = 57
d 2.310, I = 55
d 1.760, I = 47
d 1.707, I = 19
d 1.602, I = 18

```
data_In7SnHg6
_cell_length_a 7.3680
_cell_length_b 7.6037
_cell_length_c 7.8451
_cell_angle_alpha 68.25
_cell_angle_beta 67.50
_cell_angle_gamma 74.19
_symmetry_space_group_name_H-M 'P 1'
_symmetry_Int_Tables_number 1
loop_
_symmetry_equiv_pos_as_xyz
'x,y,z'
loop_
_atom_site_label
_atom_site_type_symbol
_atom_site_fract_x
_atom_site_fract_y
_atom_site_fract_z
_atom_site_occupancy
In1 In 0.0000 0.0000 0.0000 1
In2 In 0.0492 0.6719 0.7920 1
In3 In 0.1819 0.9768 0.3637 1
In4 In 0.3359 0.2436 0.9212 1
In5 In 0.4384 0.8666 0.7115 1
In6 In 0.6123 0.8045 0.0851 1
In7 In 0.7010 0.4304 0.8773 1
Sn1 Sn 0.8722 0.7048 0.4373 1
Hg1 Hg 0.1454 0.2970 0.5761 1
Hg2 Hg 0.2791 0.5760 0.1427 1
Hg3 Hg 0.4758 0.5373 0.5056 1
Hg4 Hg 0.5759 0.1338 0.2895 1
Hg5 Hg 0.7649 0.1025 0.6538 1
Hg6 Hg 0.8994 0.3792 0.2202 1
```